Record 1
ScPa4P5: computed powder diffractogram (CuKα), based on a cell relaxed with PBE.
Kinematic intensities with the Lorentz-polarization factor, no thermal factor.

Cell and atoms:
```
data_ScPa4P5
_chemical_formula_sum 'Sc2 Pa8 P10'
_cell_length_a 8.785
_cell_length_b 8.785
_cell_length_c 5.574
_cell_angle_alpha 90.00
_cell_angle_beta 90.00
_cell_angle_gamma 90.00
_space_group_name_H-M_alt 'I 4/m'
_space_group_IT_number 87
_space_group_name_Hall '-I 4'
loop_
_atom_site_label
_atom_site_fract_x
_atom_site_fract_y
_atom_site_fract_z
Sc1 0.000 0.000 0.000
Pa1 0.099 0.300 0.500
P1 0.000 0.000 0.500
P2 0.098 0.292 0.000
```

The 10 most intense peaks (10 to 80 degrees two-theta), sorted by position:
hkl 1 0 1, d 4.706, 18.9 deg, I = 119
hkl 2 1 1, d 3.211, 27.8 deg, I = 1000
hkl 0 0 2, d 2.787, 32.1 deg, I = 323
hkl 1 3 0, d 2.778, 32.2 deg, I = 659
hkl 4 2 0, d 1.966, 46.2 deg, I = 730
hkl 2 1 3, d 1.680, 54.6 deg, I = 165
hkl 5 0 1, d 1.676, 54.8 deg, I = 323
hkl 4 2 2, d 1.606, 57.4 deg, I = 256
hkl 5 0 3, d 1.277, 74.3 deg, I = 133
hkl 7 1 0, d 1.243, 76.7 deg, I = 219

Record 2
ScPa4P6: computed powder diffractogram (CuKα), based on a cell relaxed with PBE.
Kinematic intensities with the Lorentz-polarization factor, no thermal factor.

Cell and atoms:
```
data_ScPa4P6
_chemical_formula_sum 'Sc6 Pa24 P36'
_cell_length_a 10.7804
_cell_length_b 10.7804
_cell_length_c 13.4132
_cell_angle_alpha 90.00
_cell_angle_beta 90.00
_cell_angle_gamma 120.00
_space_group_name_H-M_alt 'R -3 c'
_space_group_IT_number 167
_space_group_name_Hall '-R 3 2"c'
loop_
_atom_site_label
_atom_site_fract_x
_atom_site_fract_y
_atom_site_fract_z
Sc1 0.0000 0.0000 0.0000
Pa1 0.0000 0.0000 0.2500
Pa2 0.0000 0.3828 0.2500
P1 0.0289 0.2055 0.3879
```

The 10 most intense peaks (10 to 80 degrees two-theta), sorted by position:
hkl 2 0 2, d 3.831, 23.2 deg, I = 514
hkl 1 1 3, d 3.441, 25.9 deg, I = 1000
hkl 3 0 0, d 3.112, 28.7 deg, I = 905
hkl 0 2 4, d 2.723, 32.9 deg, I = 395
hkl 1 3 1, d 2.542, 35.3 deg, I = 437
hkl 2 2 3, d 2.308, 39.0 deg, I = 427
hkl 2 3 2, d 2.040, 44.4 deg, I = 344
hkl 3 0 6, d 1.816, 50.3 deg, I = 342
hkl 3 2 4, d 1.805, 50.6 deg, I = 313
hkl 5 0 2, d 1.798, 50.8 deg, I = 305

Record 3
ScPaP2: computed powder diffractogram (CuKα), based on a cell relaxed with PBE.
Kinematic intensities with the Lorentz-polarization factor, no thermal factor.

Cell and atoms:
```
data_ScPaP2
_chemical_formula_sum 'Sc4 Pa4 P8'
_cell_length_a 5.502
_cell_length_b 5.502
_cell_length_c 10.924
_cell_angle_alpha 90.00
_cell_angle_beta 90.00
_cell_angle_gamma 90.00
_space_group_name_H-M_alt 'I 41/a m d'
_space_group_IT_number 141
loop_
_space_group_symop_operation_xyz
'x,y,z'
'-x,-y,-z'
'-y+1/4,x+3/4,z+1/4'
'y+1/4,-x+3/4,-z+1/4'
'-x+1/2,-y,z+1/2'
'x+1/2,y,-z+1/2'
'y+1/4,-x+1/4,z+3/4'
'-y+1/4,x+1/4,-z+3/4'
'x,-y,-z'
'-x,y,z'
'-y+1/4,-x+1/4,-z+3/4'
'y+1/4,x+1/4,z+3/4'
'-x+1/2,y,-z+1/2'
'x+1/2,-y,z+1/2'
'y+1/4,x+3/4,-z+1/4'
'-y+1/4,-x+3/4,z+1/4'
'x+1/2,y+1/2,z+1/2'
'-x+1/2,-y+1/2,-z+1/2'
'-y+3/4,x+1/4,z+3/4'
'y+3/4,-x+1/4,-z+3/4'
'-x,-y+1/2,z'
'x,y+1/2,-z'
'y+3/4,-x+3/4,z+1/4'
'-y+3/4,x+3/4,-z+1/4'
'x+1/2,-y+1/2,-z+1/2'
'-x+1/2,y+1/2,z+1/2'
'-y+3/4,-x+3/4,-z+1/4'
'y+3/4,x+3/4,z+1/4'
'-x,y+1/2,-z'
'x,-y+1/2,z'
'y+3/4,x+1/4,-z+3/4'
'-y+3/4,-x+1/4,z+3/4'
loop_
_atom_site_label
_atom_site_fract_x
_atom_site_fract_y
_atom_site_fract_z
Sc1 0.000 0.250 0.375
Pa1 0.000 0.250 0.875
P1 0.000 0.250 0.130
```

The 10 most intense peaks (10 to 80 degrees two-theta), sorted by position:
hkl 1 0 1, d 4.914, 18.1 deg, I = 1000
hkl 1 1 2, d 3.169, 28.2 deg, I = 975
hkl 1 0 3, d 3.036, 29.4 deg, I = 348
hkl 2 0 0, d 2.751, 32.6 deg, I = 867
hkl 0 0 4, d 2.731, 32.8 deg, I = 424
hkl 2 1 1, d 2.400, 37.5 deg, I = 348
hkl 2 2 0, d 1.945, 46.7 deg, I = 313
hkl 2 0 4, d 1.938, 46.9 deg, I = 618
hkl 3 1 2, d 1.658, 55.4 deg, I = 316
hkl 2 2 4, d 1.584, 58.2 deg, I = 323